Entry 1:
Diffraction record for Er7Au3. The powder XRD pattern is computed, not measured: it uses a structure optimized by DFT (GGA-PBE) and Cu Kα X-rays.
No peak broadening, texture or thermal motion is included.

Largest 8 diffraction maxima, by intensity, 2θ = 10–90°:
- 30.87°, rel. 100, (2 1 1)
- 34.28°, rel. 87, (3 0 1)
- 35.20°, rel. 76, (2 0 2)
- 36.09°, rel. 70, (2 2 0)
- 30.10°, rel. 42, (1 0 2)
- 39.72°, rel. 31, (2 1 2)
- 31.13°, rel. 26, (3 0 0)
- 69.73°, rel. 25, (5 2 1)

Structure:
abc: 9.9537 9.9537 6.3253
angles: 90.00 90.00 120.00
Space group P6_3mc (No. 186)
Unique sites:
Er 0.0747 0.5374 0.0000
Er 0.1289 0.2578 0.7055
Er 0.3333 0.6667 0.5274
Au 0.1910 0.3820 0.2707

=====

Entry 2:
Diffraction record for Sm6HoTm. The powder XRD pattern is computed, not measured: it uses a structure optimized by DFT (GGA-PBE) and Cu Kα X-rays.
No peak broadening, texture or thermal motion is included.

Largest 8 diffraction maxima, by intensity, 2θ = 10–90°:
- 30.45°, rel. 100, (1 1 2)
- 35.30°, rel. 51, (2 0 0)
- 60.37°, rel. 43, (3 1 2)
- 50.78°, rel. 36, (2 2 0)
- 82.72°, rel. 18, (3 3 2)
- 85.37°, rel. 17, (4 2 0)
- 63.36°, rel. 12, (2 2 4)
- 74.66°, rel. 6, (4 0 0)

Structure:
abc: 5.087 5.087 10.165
angles: 90.00 90.00 90.00
Space group P4/mmm (No. 123)
Unique sites:
Sm 0.000 0.000 0.000
Sm 0.000 0.000 0.500
Sm 0.000 0.500 0.249
Ho 0.500 0.500 0.500
Tm 0.500 0.500 0.000

=====

Entry 3:
Diffraction record for MgNpAl2. The powder XRD pattern is computed, not measured: it uses a structure optimized by DFT (GGA-PBE) and Cu Kα X-rays.
No peak broadening, texture or thermal motion is included.

Largest 8 diffraction maxima, by intensity, 2θ = 10–90°:
- 36.66°, rel. 100, (1 0 2)
- 32.53°, rel. 61, (1 0 1)
- 19.02°, rel. 52, (0 0 2)
- 31.04°, rel. 33, (1 0 0)
- 44.47°, rel. 29, (1 1 0)
- 42.78°, rel. 27, (1 0 3)
- 48.78°, rel. 24, (1 1 2)
- 76.74°, rel. 24, (2 1 2)

Structure:
abc: 2.881 2.881 9.333
angles: 90.00 90.00 90.00
Space group P4/mmm (No. 123)
Unique sites:
Mg 0.000 0.000 0.000
Np 0.000 0.000 0.500
Al 0.500 0.500 0.242

=====

Entry 4:
Diffraction record for Mn2CrRu. The powder XRD pattern is computed, not measured: it uses a structure optimized by DFT (GGA-PBE) and Cu Kα X-rays.
No peak broadening, texture or thermal motion is included.

Largest 8 diffraction maxima, by intensity, 2θ = 10–90°:
- 43.17°, rel. 100, (1 1 2)
- 43.51°, rel. 20, (0 2 0)
- 79.16°, rel. 17, (2 2 0)
- 79.64°, rel. 12, (1 3 2)
- 62.96°, rel. 12, (0 2 4)
- 62.42°, rel. 6, (2 0 0)
- 78.92°, rel. 6, (2 0 4)
- 23.88°, rel. 6, (0 1 1)

Structure:
abc: 2.975 4.160 8.382
angles: 90.00 90.00 90.00
Space group Imm2 (No. 44)
Unique sites:
Mn 0.000 0.000 0.000
Mn 0.000 0.500 0.239
Cr 0.000 0.000 0.506
Ru 0.000 0.500 0.760

=====

Entry 5:
Diffraction record for Pr2Ga5Cu. The powder XRD pattern is computed, not measured: it uses a structure optimized by DFT (GGA-PBE) and Cu Kα X-rays.
No peak broadening, texture or thermal motion is included.

Largest 8 diffraction maxima, by intensity, 2θ = 10–90°:
- 35.17°, rel. 100, (2 0 2)
- 28.42°, rel. 47, (1 1 2)
- 41.25°, rel. 46, (2 2 0)
- 58.80°, rel. 30, (2 2 4)
- 39.99°, rel. 27, (0 0 4)
- 71.27°, rel. 18, (4 2 2)
- 69.52°, rel. 15, (2 0 6)
- 59.76°, rel. 13, (4 0 0)

Structure:
abc: 6.190 6.190 9.019
angles: 90.00 90.00 90.00
Space group I4mm (No. 107)
Unique sites:
Pr 0.000 0.500 0.000
Ga 0.000 0.000 0.490
Ga 0.216 0.216 0.252
Cu 0.000 0.000 0.780

=====

Entry 6:
Diffraction record for SrNp2O7. The powder XRD pattern is computed, not measured: it uses a structure optimized by DFT (GGA-PBE) and Cu Kα X-rays.
No peak broadening, texture or thermal motion is included.

Largest 8 diffraction maxima, by intensity, 2θ = 10–90°:
- 28.30°, rel. 100, (1 3 0)
- 26.52°, rel. 79, (2 0 0)
- 27.27°, rel. 79, (0 2 1)
- 21.52°, rel. 78, (0 0 1)
- 16.55°, rel. 64, (0 2 0)
- 38.41°, rel. 59, (2 2 1)
- 26.67°, rel. 58, (1 1 1)
- 49.83°, rel. 54, (1 5 1)

Structure:
abc: 6.723 10.712 4.129
angles: 90.00 90.00 90.00
Space group Cmmm (No. 65)
Unique sites:
Sr 0.000 0.000 0.000
Np 0.000 0.306 0.500
O 0.000 0.295 0.000
O 0.000 0.500 0.500
O 0.188 0.139 0.500

=====

Entry 7:
Diffraction record for Cs2TaP2N6. The powder XRD pattern is computed, not measured: it uses a structure optimized by DFT (GGA-PBE) and Cu Kα X-rays.
No peak broadening, texture or thermal motion is included.

Largest 8 diffraction maxima, by intensity, 2θ = 10–90°:
- 27.86°, rel. 100, (0 1 5)
- 31.50°, rel. 62, (1 1 0)
- 18.52°, rel. 38, (1 0 1)
- 53.88°, rel. 29, (1 2 5)
- 24.75°, rel. 26, (1 0 4)
- 42.54°, rel. 22, (2 0 5)
- 46.86°, rel. 18, (1 0 10)
- 50.49°, rel. 16, (1 1 9)

Structure:
abc: 5.6806 5.6806 21.0938
angles: 90.00 90.00 120.00
Space group R-3m (No. 166, hexagonal axes)
Unique sites:
Cs 0.0000 0.0000 0.2091
Ta 0.0000 0.0000 0.0000
P 0.0000 0.0000 0.3875
N 0.0139 0.5069 0.2761

=====

Entry 8:
Diffraction record for BaSiB2. The powder XRD pattern is computed, not measured: it uses a structure optimized by DFT (GGA-PBE) and Cu Kα X-rays.
No peak broadening, texture or thermal motion is included.

Largest 8 diffraction maxima, by intensity, 2θ = 10–90°:
- 30.10°, rel. 100, (1 1 2)
- 20.03°, rel. 40, (1 0 1)
- 27.89°, rel. 31, (1 0 3)
- 47.58°, rel. 27, (2 0 4)
- 38.19°, rel. 26, (2 0 0)
- 27.30°, rel. 25, (0 0 4)
- 50.03°, rel. 23, (1 1 6)
- 64.08°, rel. 22, (3 1 2)

Structure:
abc: 4.713 4.713 13.066
angles: 90.00 90.00 90.00
Space group I4_1/amd (No. 141, origin choice 2)
Unique sites:
Ba 0.000 0.250 0.375
Si 0.000 0.250 0.875
B 0.000 0.000 0.000